Simulated powder X-ray diffraction pattern of La6PrHo4 for CuKα, from DFT lattice parameters and positions (PBE).
Neutral-atom scattering factors, no anomalous dispersion.

a b c (Å): 5.7630 5.7630 26.3855
angles (deg): 90.00 90.00 118.04
Sites, in units of the cell vectors:
La1 0.0000 0.0000 0.0000
La2 0.0000 0.0000 0.5000
La3 0.0433 0.9567 0.7500
La4 0.3087 0.6913 0.0958
La5 0.3087 0.6913 0.4042
La6 0.3680 0.6320 0.6809
La7 0.3680 0.6320 0.8191
La8 0.6320 0.3680 0.1809
La9 0.6320 0.3680 0.3191
La10 0.6913 0.3087 0.5958
La11 0.6913 0.3087 0.9042
La12 0.9567 0.0433 0.2500
Pr1 0.2978 0.7022 0.2500
Pr2 0.7022 0.2978 0.7500
Ho1 0.0324 0.9676 0.6247
Ho2 0.0324 0.9676 0.8753
Ho3 0.3450 0.6550 0.5456
Ho4 0.3450 0.6550 0.9544
Ho5 0.6550 0.3450 0.0456
Ho6 0.6550 0.3450 0.4544
Ho7 0.9676 0.0324 0.1247
Ho8 0.9676 0.0324 0.3753

Main lines, in order of rising 2θ (5° ≤ 2θ ≤ 70°):
2θ (°), I_rel
29.5, 616
29.8, 521
30.1, 732
31.1, 1000
31.2, 320
32.4, 644
42.9, 387
53.1, 206
54.1, 233
55.9, 234